Calculated X-ray powder pattern
Compound: LiY2MgTe4
Radiation: Cu Ka
Structure: a structure optimized by DFT (PBE)

Peak list (12 most intense, 10 to 90 degrees two-theta, in order of falling intensity)
hkl 1 1 1, 2θ = 29.3°, I = 1000; hkl 0 2 0, 2θ = 42.4°, I = 543; hkl 2 0 -2, 2θ = 29.4°, I = 494; hkl 1 1 -3, 2θ = 41.5°, I = 374; hkl 2 0 0, 2θ = 25.5°, I = 336; hkl 4 0 0, 2θ = 52.4°, I = 288; hkl 2 0 2, 2θ = 41.4°, I = 189; hkl 4 2 0, 2θ = 69.5°, I = 161; hkl 2 0 -1, 2θ = 24.5°, I = 129; hkl 2 2 2, 2θ = 60.7°, I = 120; hkl 5 1 1, 2θ = 76.9°, I = 118; hkl 0 0 2, 2θ = 24.7°, I = 116

Structural model:
Unit cell a=7.3777 b=4.2649 c=7.5953 alpha=90.00 beta=108.65 gamma=90.00
Positions (direct):
Li 0.0000 0.0000 0.0000
Y 0.0000 0.5000 0.5000
Y 0.5000 0.0000 0.5000
Mg 0.5000 0.5000 0.0000
Te 0.2486 0.5000 0.2388
Te 0.2548 0.0000 0.7636
Te 0.7452 0.0000 0.2364
Te 0.7514 0.5000 0.7612